This entry pairs a crystal structure of Ca2ReTe with its simulated XRD peak list. Radiation: Cu Kα, 1.54184 Å. Structure: the GGA-PBE geometry in Alexandria.

Most intense lines, 2θ = 10–80°, in order of falling intensity:
| two_theta | I_rel | hkl |
| --- | --- | --- |
| 32.80 | 100 | 1 0 2 |
| 40.12 | 67 | 1 0 3 |
| 36.64 | 64 | 1 1 0 |
| 38.07 | 46 | 1 1 1 |
| 63.55 | 29 | 2 1 2 |
| 68.32 | 28 | 2 1 3 |
| 52.78 | 22 | 2 0 0 |
| 20.06 | 21 | 0 0 2 |

Structure:
```
data_Ca2ReTe
_cell_length_a 3.469
_cell_length_b 3.469
_cell_length_c 8.852
_cell_angle_alpha 90.00
_cell_angle_beta 90.00
_cell_angle_gamma 90.00
_symmetry_space_group_name_H-M 'P 4 m m'
_symmetry_Int_Tables_number 99
loop_
_symmetry_equiv_pos_as_xyz
'x,y,z'
'-y,x,z'
'-x,-y,z'
'y,-x,z'
'-x,y,z'
'y,x,z'
'x,-y,z'
'-y,-x,z'
loop_
_atom_site_label
_atom_site_type_symbol
_atom_site_fract_x
_atom_site_fract_y
_atom_site_fract_z
Ca1 Ca 0.000 0.000 0.000
Ca2 Ca 0.500 0.500 0.369
Re1 Re 0.000 0.000 0.608
Te1 Te 0.500 0.500 0.745
```



This entry pairs a crystal structure of Ca5Rh with its simulated XRD peak list. Radiation: Cu Kα, 1.54184 Å. Structure: the GGA-PBE geometry in Alexandria.

Most intense lines, 2θ = 10–80°, in order of falling intensity:
| two_theta | I_rel | hkl |
| --- | --- | --- |
| 18.45 | 100 | 1 1 1 |
| 11.11 | 92 | 0 2 0 |
| 31.11 | 67 | 0 5 1 |
| 33.26 | 44 | 1 5 1 |
| 38.31 | 41 | 3 1 1 |
| 31.83 | 31 | 2 3 1 |
| 32.53 | 28 | 2 4 0 |
| 29.56 | 28 | 1 1 2 |

Structure:
```
data_Ca5Rh
_cell_length_a 7.617
_cell_length_b 15.929
_cell_length_c 6.731
_cell_angle_alpha 90.00
_cell_angle_beta 90.00
_cell_angle_gamma 90.00
_symmetry_space_group_name_H-M 'P n m a'
_symmetry_Int_Tables_number 62
loop_
_symmetry_equiv_pos_as_xyz
'x,y,z'
'-x,-y,-z'
'-x+1/2,-y,z+1/2'
'x+1/2,y,-z+1/2'
'x+1/2,-y+1/2,-z+1/2'
'-x+1/2,y+1/2,z+1/2'
'-x,y+1/2,-z'
'x,-y+1/2,z'
loop_
_atom_site_label
_atom_site_type_symbol
_atom_site_fract_x
_atom_site_fract_y
_atom_site_fract_z
Ca1 Ca 0.036 0.144 0.175
Ca2 Ca 0.094 0.750 0.349
Ca3 Ca 0.191 0.064 0.647
Rh1 Rh 0.241 0.250 0.463
```



This entry pairs a crystal structure of Ca2Rh with its simulated XRD peak list. Radiation: Cu Kα, 1.54184 Å. Structure: the GGA-PBE geometry in Alexandria.

Most intense lines, 2θ = 10–80°, in order of falling intensity:
| two_theta | I_rel | hkl |
| --- | --- | --- |
| 34.60 | 100 | 1 3 1 |
| 39.77 | 65 | 1 5 1 |
| 19.68 | 54 | 0 2 1 |
| 34.83 | 38 | 0 0 2 |
| 38.54 | 28 | 0 8 0 |
| 52.91 | 21 | 0 8 2 |
| 62.30 | 17 | 1 3 3 |
| 63.77 | 16 | 1 11 1 |

Structure:
```
data_Ca2Rh
_cell_length_a 3.423
_cell_length_b 18.689
_cell_length_c 5.152
_cell_angle_alpha 90.00
_cell_angle_beta 90.00
_cell_angle_gamma 90.00
_symmetry_space_group_name_H-M 'C m c m'
_symmetry_Int_Tables_number 63
_symmetry_space_group_name_Hall '-C 2c 2'
loop_
_atom_site_label
_atom_site_type_symbol
_atom_site_fract_x
_atom_site_fract_y
_atom_site_fract_z
Ca1 Ca 0.000 0.063 0.250
Ca2 Ca 0.000 0.186 0.750
Rh1 Rh 0.000 0.435 0.250
```



This entry pairs a crystal structure of Ca13Rh2 with its simulated XRD peak list. Radiation: Cu Kα, 1.54184 Å. Structure: the GGA-PBE geometry in Alexandria.

Most intense lines, 2θ = 10–80°, in order of falling intensity:
| two_theta | I_rel | hkl |
| --- | --- | --- |
| 32.06 | 100 | 1 3 2 |
| 32.37 | 52 | 2 -1 1 |
| 27.80 | 45 | 2 1 0 |
| 46.27 | 34 | 3 2 3 |
| 46.15 | 34 | 0 3 5 |
| 11.11 | 28 | 0 1 0 |
| 16.03 | 20 | 1 1 1 |
| 46.06 | 20 | 1 -1 4 |

Structure:
```
data_Ca13Rh2
_cell_length_a 6.789
_cell_length_b 8.816
_cell_length_c 10.426
_cell_angle_alpha 65.25
_cell_angle_beta 83.96
_cell_angle_gamma 82.19
_symmetry_space_group_name_H-M 'P -1'
_symmetry_Int_Tables_number 2
loop_
_symmetry_equiv_pos_as_xyz
'x,y,z'
'-x,-y,-z'
loop_
_atom_site_label
_atom_site_type_symbol
_atom_site_fract_x
_atom_site_fract_y
_atom_site_fract_z
Ca1 Ca 0.000 0.000 0.000
Ca2 Ca 0.079 0.848 0.692
Ca3 Ca 0.153 0.692 0.385
Ca4 Ca 0.229 0.543 0.075
Ca5 Ca 0.306 0.382 0.769
Ca6 Ca 0.383 0.229 0.462
Ca7 Ca 0.460 0.075 0.154
Rh1 Rh 0.194 0.116 0.729
```



This entry pairs a crystal structure of Ca6Rh7 with its simulated XRD peak list. Radiation: Cu Kα, 1.54184 Å. Structure: the GGA-PBE geometry in Alexandria.

Most intense lines, 2θ = 10–80°, in order of falling intensity:
| two_theta | I_rel | hkl |
| --- | --- | --- |
| 40.43 | 100 | 2 0 5 |
| 37.16 | 77 | 1 1 6 |
| 18.20 | 64 | 0 0 6 |
| 37.39 | 56 | 0 2 1 |
| 18.63 | 48 | 1 0 1 |
| 43.29 | 42 | 0 2 7 |
| 67.18 | 40 | 2 2 0 |
| 36.88 | 37 | 0 0 12 |

Structure:
```
data_Ca6Rh7
_cell_length_a 5.5737
_cell_length_b 5.5737
_cell_length_c 29.2470
_cell_angle_alpha 90.00
_cell_angle_beta 90.00
_cell_angle_gamma 120.00
_symmetry_space_group_name_H-M 'R -3 m'
_symmetry_Int_Tables_number 166
_symmetry_space_group_name_Hall '-R 3 2"'
loop_
_atom_site_label
_atom_site_type_symbol
_atom_site_fract_x
_atom_site_fract_y
_atom_site_fract_z
Ca1 Ca 0.0000 0.0000 0.0581
Ca2 Ca 0.0000 0.0000 0.1571
Ca3 Ca 0.0000 0.0000 0.3392
Rh1 Rh 0.0000 0.0000 0.5000
Rh2 Rh 0.0051 0.5025 0.9073
```



This entry pairs a crystal structure of CaRu3Rh with its simulated XRD peak list. Radiation: Cu Kα, 1.54184 Å. Structure: the GGA-PBE geometry in Alexandria.

Most intense lines, 2θ = 10–80°, in order of falling intensity:
| two_theta | I_rel | hkl |
| --- | --- | --- |
| 38.03 | 100 | 2 0 0 |
| 18.75 | 81 | 1 0 0 |
| 54.87 | 67 | 2 2 0 |
| 32.78 | 58 | 1 1 1 |
| 42.72 | 38 | 2 1 0 |
| 68.71 | 22 | 2 2 2 |
| 65.41 | 22 | 3 1 1 |
| 58.51 | 19 | 3 0 0 |

Structure:
```
data_CaRu3Rh
_cell_length_a 4.732
_cell_length_b 4.732
_cell_length_c 4.732
_cell_angle_alpha 90.00
_cell_angle_beta 90.00
_cell_angle_gamma 90.00
_symmetry_space_group_name_H-M 'P m -3 m'
_symmetry_Int_Tables_number 221
_symmetry_space_group_name_Hall '-P 4 2 3'
loop_
_atom_site_label
_atom_site_type_symbol
_atom_site_fract_x
_atom_site_fract_y
_atom_site_fract_z
Ca1 Ca 0.000 0.000 0.000
Ru1 Ru 0.000 0.500 0.500
Rh1 Rh 0.500 0.500 0.500
```